This entry pairs a crystal structure of Pm3YSi2 with its theoretical powder X-ray diffraction pattern. Radiation: Cu Kα X-rays. Structure: a cell relaxed with GGA-PBE.
Kinematic intensities with the Lorentz-polarization factor, no thermal factor.

Cell and atoms:
abc: 10.232 10.232 8.288
angles: 113.73 113.73 23.88
Positions (direct):
1 Pm 0.025 0.025 0.310
2 Pm 0.324 0.324 0.579
3 Pm 0.404 0.404 0.001
4 Pm 0.596 0.596 0.999
5 Pm 0.676 0.676 0.421
6 Pm 0.975 0.975 0.690
7 Y 0.184 0.184 0.793
8 Y 0.816 0.816 0.207
9 Si 0.210 0.210 0.190
10 Si 0.434 0.434 0.395
11 Si 0.566 0.566 0.605
12 Si 0.790 0.790 0.810

Largest 12 diffraction maxima, in order of rising 2θ, 10° ≤ 2θ ≤ 90°:
2θ (°)	I_rel
23.60	27
25.63	26
29.14	23
30.57	24
30.77	100
32.38	24
32.78	35
33.65	57
36.11	22
42.71	27
54.86	16
55.96	17